Record 1
Calculated XRD peak list of U2PaPt2S6 for Cu Kα, 1.54184 Å, from DFT lattice parameters and positions (PBE).
Kinematic intensities with the Lorentz-polarization factor, no thermal factor.

Cell and atoms:
Lattice parameters (Å, degrees): 7.053 7.053 5.771 90.00 90.00 120.00
Atoms (fractional coordinates):
U: 0.333 0.667 0.418
U: 0.667 0.333 0.582
Pa: 0.000 0.000 0.500
Pt: 0.333 0.667 0.947
Pt: 0.667 0.333 0.053
S: 0.039 0.347 0.733
S: 0.308 0.961 0.733
S: 0.347 0.308 0.267
S: 0.653 0.692 0.733
S: 0.692 0.039 0.267
S: 0.961 0.653 0.267

Largest 10 diffraction maxima, by angle, 5° ≤ 2θ ≤ 70°:
2theta  I_rel
14.5  14
21.2  16
25.3  100
34.4  29
40.4  46
43.1  16
44.5  37
50.6  21
51.9  16
61.6  13



Record 2
Calculated XRD peak list of La7Sn2Pd2 for Cu Kα, 1.54184 Å, from DFT lattice parameters and positions (PBE).
Kinematic intensities with the Lorentz-polarization factor, no thermal factor.

Cell and atoms:
Lattice parameters (Å, degrees): 7.260 7.260 7.198 90.06 90.06 71.65
Atoms (fractional coordinates):
La: 0.000 0.000 0.000
La: 0.000 0.500 0.270
La: 0.000 0.500 0.730
La: 0.500 0.000 0.270
La: 0.500 0.000 0.730
La: 0.500 0.500 0.234
La: 0.500 0.500 0.766
Sn: 0.173 0.827 0.500
Sn: 0.827 0.173 0.500
Pd: 0.274 0.274 0.000
Pd: 0.726 0.726 0.000

Largest 10 diffraction maxima, by angle, 5° ≤ 2θ ≤ 70°:
2theta  I_rel
24.3  48
25.9  44
28.0  47
30.4  74
32.6  26
35.5  39
36.1  100
39.3  27
53.2  22
57.8  25



Record 3
Calculated XRD peak list of Y2Sc2S3 for Cu Kα, 1.54184 Å, from DFT lattice parameters and positions (PBE).
Kinematic intensities with the Lorentz-polarization factor, no thermal factor.

Cell and atoms:
Lattice parameters (Å, degrees): 6.702 6.702 9.090 129.94 129.94 31.88
Atoms (fractional coordinates):
Y: 0.073 0.073 0.362
Y: 0.927 0.927 0.638
Sc: 0.254 0.254 0.158
Sc: 0.746 0.746 0.842
S: 0.331 0.331 0.747
S: 0.500 0.500 0.500
S: 0.669 0.669 0.253

Largest 10 diffraction maxima, by angle, 5° ≤ 2θ ≤ 70°:
2theta  I_rel
13.1  39
29.1  53
30.5  12
31.9  19
33.0  100
42.3  29
45.0  18
46.7  31
49.5  15
58.5  13



Record 4
Calculated XRD peak list of Ac4LaTm for Cu Kα, 1.54184 Å, from DFT lattice parameters and positions (PBE).
Kinematic intensities with the Lorentz-polarization factor, no thermal factor.

Cell and atoms:
Lattice parameters (Å, degrees): 3.739 6.216 10.670 90.00 90.00 90.00
Atoms (fractional coordinates):
Ac: 0.000 0.000 0.165
Ac: 0.000 0.000 0.835
Ac: 0.000 0.500 0.330
Ac: 0.000 0.500 0.670
La: 0.500 0.000 0.500
Tm: 0.500 0.500 0.000

Largest 10 diffraction maxima, by angle, 5° ≤ 2θ ≤ 70°:
2theta  I_rel
23.8  16
28.7  44
28.9  86
29.1  100
37.8  20
41.4  27
51.0  18
51.4  22
51.5  15
57.6  26



Record 5
Calculated XRD peak list of Zn3Ga12Ag for Cu Kα, 1.54184 Å, from DFT lattice parameters and positions (PBE).
Kinematic intensities with the Lorentz-polarization factor, no thermal factor.

Cell and atoms:
Lattice parameters (Å, degrees): 4.998 4.998 12.023 92.95 92.95 105.53
Atoms (fractional coordinates):
Zn: 0.000 0.000 0.000
Zn: 0.007 0.007 0.756
Zn: 0.993 0.993 0.244
Ga: 0.000 0.000 0.500
Ga: 0.000 0.495 0.374
Ga: 0.000 0.505 0.626
Ga: 0.003 0.508 0.874
Ga: 0.492 0.997 0.126
Ga: 0.495 0.000 0.374
Ga: 0.495 0.495 0.253
Ga: 0.500 0.500 0.000
Ga: 0.505 0.000 0.626
Ga: 0.505 0.505 0.747
Ga: 0.508 0.003 0.874
Ga: 0.997 0.492 0.126
Ag: 0.500 0.500 0.500

Largest 10 diffraction maxima, by angle, 5° ≤ 2θ ≤ 70°:
2theta  I_rel
7.4  2
37.4  100
37.6  99
40.6  40
44.4  30
45.6  28
61.6  11
62.0  11
62.7  21
65.6  18



Record 6
Calculated XRD peak list of Sr2GeO4F for Cu Kα, 1.54184 Å, from DFT lattice parameters and positions (PBE).
Kinematic intensities with the Lorentz-polarization factor, no thermal factor.

Cell and atoms:
Lattice parameters (Å, degrees): 4.831 4.831 8.848 113.52 113.52 39.92
Atoms (fractional coordinates):
Sr: 0.145 0.145 0.234
Sr: 0.855 0.855 0.766
Ge: 0.000 0.000 0.500
O: 0.132 0.132 0.719
O: 0.385 0.385 0.551
O: 0.615 0.615 0.449
O: 0.868 0.868 0.281
F: 0.500 0.500 0.000

Largest 10 diffraction maxima, by angle, 5° ≤ 2θ ≤ 70°:
2theta  I_rel
11.0  95
23.5  80
28.3  74
29.2  79
32.9  67
39.9  34
41.2  65
41.4  100
45.3  56
55.8  33